Record 1
The following is a calculated X-ray diffraction stick pattern of PmSm3In3. It was derived from a GGA-PBE-relaxed structure, using Cu Kα (weighted mean of Kα1 and Kα2).

Cell and atoms:
a = 9.5065 Å, b = 9.5065 Å, c = 9.5065 Å
α = 90.00°, β = 90.00°, γ = 90.00°
Space group P2_13 (No. 198)
One atom of each set of equivalent atoms:
Pm 0.0749 0.4251 0.5749 (multiplicity 4)
Sm 0.0752 0.5752 0.9248 (multiplicity 4)
Sm 0.1756 0.1756 0.1756 (multiplicity 4)
Sm 0.1756 0.8244 0.3244 (multiplicity 4)
In 0.9999 0.2505 0.8764 (multiplicity 12)

Most intense lines, 5° ≤ 2θ ≤ 70°, most intense first:
Position (°2θ), I (rel.)
29.72, 100
35.33, 73
59.99, 26
48.85, 22
46.82, 20
63.41, 15
61.71, 12
42.53, 10
44.71, 8
22.91, 6

---

Record 2
The following is a calculated X-ray diffraction stick pattern of Ac4Se2S3. It was derived from a GGA-PBE-relaxed structure, using Cu Kα (weighted mean of Kα1 and Kα2).

Cell and atoms:
a = 8.3590 Å, b = 15.8531 Å, c = 7.9985 Å
α = 90.00°, β = 90.00°, γ = 90.00°
Space group Cmce (No. 64)
One atom of each set of equivalent atoms:
Ac 0.0000 0.2044 0.0427 (multiplicity 8)
Ac 0.2500 0.0246 0.7500 (multiplicity 8)
Se 0.0000 0.1045 0.4154 (multiplicity 8)
S 0.0000 0.0000 0.0000 (multiplicity 4)
S 0.2500 0.2098 0.7500 (multiplicity 8)

Most intense lines, 5° ≤ 2θ ≤ 70°, most intense first:
Position (°2θ), I (rel.)
30.95, 100
24.07, 79
24.94, 66
32.20, 63
38.56, 30
26.56, 28
50.62, 28
43.30, 26
44.76, 26
22.43, 25

---

Record 3
The following is a calculated X-ray diffraction stick pattern of Er3Th3TlTc2. It was derived from a GGA-PBE-relaxed structure, using Cu Kα (weighted mean of Kα1 and Kα2).

Cell and atoms:
a = 7.8888 Å, b = 7.8888 Å, c = 4.3875 Å
α = 90.00°, β = 90.00°, γ = 120.00°
Space group P-62m (No. 189)
One atom of each set of equivalent atoms:
Er 0.0000 0.2663 0.0000 (multiplicity 3)
Th 0.0000 0.5770 0.5000 (multiplicity 3)
Tl 0.0000 0.0000 0.5000 (multiplicity 1)
Tc 0.3333 0.6667 0.0000 (multiplicity 2)

Most intense lines, 5° ≤ 2θ ≤ 70°, most intense first:
Position (°2θ), I (rel.)
33.24, 100
30.47, 82
34.74, 37
62.97, 29
41.15, 26
39.57, 25
54.92, 20
26.09, 18
52.61, 17
58.41, 16

---

Record 4
The following is a calculated X-ray diffraction stick pattern of BiPd6Au23. It was derived from a GGA-PBE-relaxed structure, using Cu Kα (weighted mean of Kα1 and Kα2).

Cell and atoms:
a = 13.0390 Å, b = 13.0390 Å, c = 13.0390 Å
α = 90.00°, β = 90.00°, γ = 90.00°
Space group Fm-3m (No. 225)
One atom of each set of equivalent atoms:
Bi 0.0000 0.0000 0.0000 (multiplicity 4)
Pd 0.0000 0.0000 0.2464 (multiplicity 24)
Au 0.0000 0.0000 0.5000 (multiplicity 4)
Au 0.0000 0.2500 0.2500 (multiplicity 24)
Au 0.1258 0.1258 0.3742 (multiplicity 32)
Au 0.1344 0.1344 0.1344 (multiplicity 32)

Most intense lines, 5° ≤ 2θ ≤ 70°, most intense first:
Position (°2θ), I (rel.)
39.08, 100
56.46, 17
23.64, 7
46.18, 4
27.36, 3
30.66, 2
62.05, 2
58.36, 1
41.56, 1
63.85, 1

---

Record 5
The following is a calculated X-ray diffraction stick pattern of LaHo2Er3. It was derived from a GGA-PBE-relaxed structure, using Cu Kα (weighted mean of Kα1 and Kα2).

Cell and atoms:
a = 3.5764 Å, b = 18.5353 Å, c = 11.5369 Å
α = 90.00°, β = 90.00°, γ = 90.00°
Space group Cmcm (No. 63)
One atom of each set of equivalent atoms:
La 0.0000 0.2212 0.2500 (multiplicity 4)
Ho 0.0000 0.0000 0.0000 (multiplicity 4)
Ho 0.0000 0.4460 0.7500 (multiplicity 4)
Er 0.0000 0.1080 0.7500 (multiplicity 4)
Er 0.0000 0.3349 0.0046 (multiplicity 8)

Most intense lines, 5° ≤ 2θ ≤ 70°, most intense first:
Position (°2θ), I (rel.)
32.85, 100
29.91, 39
31.01, 34
61.02, 29
37.31, 22
56.34, 21
51.18, 17
62.09, 11
49.27, 10
28.86, 9

---

Record 6
The following is a calculated X-ray diffraction stick pattern of Cs3SbH2S4O. It was derived from a GGA-PBE-relaxed structure, using Cu Kα (weighted mean of Kα1 and Kα2).

Cell and atoms:
a = 9.9601 Å, b = 10.2251 Å, c = 16.3884 Å
α = 90.00°, β = 126.37°, γ = 90.00°
Space group P2_1/c (No. 14)
One atom of each set of equivalent atoms:
Cs 0.0813 0.0825 0.4227 (multiplicity 4)
Cs 0.2118 0.5863 0.4513 (multiplicity 4)
Cs 0.3921 0.6358 0.7929 (multiplicity 4)
Sb 0.2612 0.2075 0.7800 (multiplicity 4)
H 0.3149 0.5871 0.1666 (multiplicity 4)
H 0.3660 0.6455 0.0988 (multiplicity 4)
S 0.0037 0.1701 0.7540 (multiplicity 4)
S 0.2171 0.1899 0.1374 (multiplicity 4)
S 0.3935 0.0020 0.8101 (multiplicity 4)
S 0.4372 0.1619 0.4264 (multiplicity 4)
O 0.2700 0.6364 0.1026 (multiplicity 4)

Most intense lines, 5° ≤ 2θ ≤ 70°, most intense first:
Position (°2θ), I (rel.)
26.74, 100
21.96, 80
22.57, 53
19.52, 52
23.85, 51
28.96, 42
35.34, 36
27.60, 33
28.48, 32
20.85, 31